Structure and theoretical X-ray diffraction stick pattern of NaSrHfBiO6 (a PBE-relaxed structure; a wavelength of 1.5418 Å).
No peak broadening, texture or thermal motion is included.

Atomic structure:
```
data_NaSrHfBiO6
_symmetry_space_group_name_H-M 'F -4 3 m'
_symmetry_Int_Tables_number 216
_symmetry_space_group_name_Hall 'F -4 2 3'
_cell_length_a 8.3174
_cell_length_b 8.3174
_cell_length_c 8.3174
_cell_angle_alpha 90.00
_cell_angle_beta 90.00
_cell_angle_gamma 90.00
loop_
_atom_site_label
_atom_site_type_symbol
_atom_site_fract_x
_atom_site_fract_y
_atom_site_fract_z
Na1 Na 0.0000 0.0000 0.0000
Sr1 Sr 0.0000 0.0000 0.5000
Hf1 Hf 0.2500 0.2500 0.2500
Bi1 Bi 0.2500 0.2500 0.7500
O1 O 0.0027 0.2500 0.2500
```

Largest 10 diffraction maxima, most intense first, 10 to 90 degrees two-theta:
30.4 deg, rel. 100
21.4 deg, rel. 52
54.0 deg, rel. 42
43.5 deg, rel. 31
49.0 deg, rel. 23
87.8 deg, rel. 23
63.2 deg, rel. 19
71.8 deg, rel. 18
67.6 deg, rel. 11
79.9 deg, rel. 7